Structure and simulated powder diffractogram of UAl2Au3 (DFT lattice parameters and positions (PBE); Cu Ka).
Intensities are scaled so that the largest is 100.

The 10 most intense peaks (5 to 70 degrees two-theta), sorted by position:
2θ (°), I_rel, index
23.99, 20, 1 3 0
24.62, 29, 0 4 0
30.79, 54, 2 0 0
34.64, 20, 1 5 0
37.30, 20, 0 6 0
39.81, 20, 2 4 0
40.06, 100, 1 3 2
49.12, 16, 2 6 0
57.45, 24, 1 7 2
61.09, 25, 3 3 2

Atomic structure:
```
data_UAl2Au3
_symmetry_space_group_name_H-M 'I b a m'
_symmetry_Int_Tables_number 72
_symmetry_space_group_name_Hall '-I 2 2c'
_cell_length_a 5.808
_cell_length_b 14.463
_cell_length_c 5.663
_cell_angle_alpha 90.00
_cell_angle_beta 90.00
_cell_angle_gamma 90.00
loop_
_atom_site_label
_atom_site_type_symbol
_atom_site_fract_x
_atom_site_fract_y
_atom_site_fract_z
U1 U 0.000 0.000 0.000
Al1 Al 0.109 0.345 0.000
Au1 Au 0.000 0.196 0.250
Au2 Au 0.000 0.500 0.250
```

---

Structure and simulated powder diffractogram of Th4Sb6Ru7 (DFT lattice parameters and positions (PBE); Cu Ka).
Intensities are scaled so that the largest is 100.

The 10 most intense peaks (5 to 70 degrees two-theta), sorted by position:
2θ (°), I_rel, index
28.35, 37, 2 2 0
34.90, 100, 2 2 2
37.80, 11, 3 2 1
40.52, 60, 4 0 0
43.10, 14, 3 3 0
45.56, 12, 4 2 0
47.92, 13, 3 3 2
58.65, 30, 4 4 0
62.59, 11, 4 4 2
66.40, 16, 6 2 0

Atomic structure:
```
data_Th4Sb6Ru7
_symmetry_space_group_name_H-M 'I m -3 m'
_symmetry_Int_Tables_number 229
_symmetry_space_group_name_Hall '-I 4 2 3'
_cell_length_a 8.904
_cell_length_b 8.904
_cell_length_c 8.904
_cell_angle_alpha 90.00
_cell_angle_beta 90.00
_cell_angle_gamma 90.00
loop_
_atom_site_label
_atom_site_type_symbol
_atom_site_fract_x
_atom_site_fract_y
_atom_site_fract_z
Th1 Th 0.250 0.250 0.250
Sb1 Sb 0.000 0.000 0.318
Ru1 Ru 0.000 0.000 0.000
Ru2 Ru 0.000 0.250 0.500
```

---

Structure and simulated powder diffractogram of Ba2CuAs2 (DFT lattice parameters and positions (PBE); Cu Ka).
Intensities are scaled so that the largest is 100.

The 10 most intense peaks (5 to 70 degrees two-theta), sorted by position:
2θ (°), I_rel, index
28.62, 100, 1 1 2
30.12, 41, 3 1 -1
30.47, 42, 4 0 -2
31.07, 28, 3 1 0
32.89, 30, 0 0 4
39.63, 48, 3 1 -4
40.26, 22, 4 0 2
40.73, 33, 0 2 0
51.71, 18, 4 2 -2
57.83, 23, 1 1 6

Atomic structure:
```
data_Ba2CuAs2
_symmetry_space_group_name_H-M 'C 1 2/m 1'
_symmetry_Int_Tables_number 12
_cell_length_a 11.993
_cell_length_b 4.430
_cell_length_c 11.500
_cell_angle_alpha 90.00
_cell_angle_beta 108.72
_cell_angle_gamma 90.00
loop_
_symmetry_equiv_pos_as_xyz
'x,y,z'
'-x,-y,-z'
'-x,y,-z'
'x,-y,z'
'x+1/2,y+1/2,z'
'-x+1/2,-y+1/2,-z'
'-x+1/2,y+1/2,-z'
'x+1/2,-y+1/2,z'
loop_
_atom_site_label
_atom_site_type_symbol
_atom_site_fract_x
_atom_site_fract_y
_atom_site_fract_z
Ba1 Ba 0.087 0.000 0.406
Ba2 Ba 0.196 0.500 0.143
Cu1 Cu 0.075 0.500 0.824
As1 As 0.041 0.000 0.909
As2 As 0.149 0.500 0.650
```

---

Structure and simulated powder diffractogram of Y3TmSc8 (DFT lattice parameters and positions (PBE); Cu Ka).
Intensities are scaled so that the largest is 100.

The 10 most intense peaks (5 to 70 degrees two-theta), sorted by position:
2θ (°), I_rel, index
15.06, 26, 1 1 0
21.36, 27, 2 0 0
22.69, 87, 1 1 2
25.39, 22, 2 1 1
30.38, 64, 2 2 0
34.13, 37, 0 0 4
38.25, 100, 3 1 2
46.33, 38, 2 2 4
59.29, 27, 5 1 2
63.84, 22, 3 1 6

Atomic structure:
```
data_Y3TmSc8
_symmetry_space_group_name_H-M 'I -4 2 m'
_symmetry_Int_Tables_number 121
_symmetry_space_group_name_Hall 'I -4 2'
_cell_length_a 8.321
_cell_length_b 8.321
_cell_length_c 10.508
_cell_angle_alpha 90.00
_cell_angle_beta 90.00
_cell_angle_gamma 90.00
loop_
_atom_site_label
_atom_site_type_symbol
_atom_site_fract_x
_atom_site_fract_y
_atom_site_fract_z
Y1 Y 0.000 0.000 0.000
Y2 Y 0.000 0.500 0.250
Tm1 Tm 0.000 0.000 0.500
Sc1 Sc 0.126 0.126 0.257
Sc2 Sc 0.241 0.241 0.518
```

---

Structure and simulated powder diffractogram of Nd6Tl2Ru (DFT lattice parameters and positions (PBE); Cu Ka).
Intensities are scaled so that the largest is 100.

The 10 most intense peaks (5 to 70 degrees two-theta), sorted by position:
2θ (°), I_rel, index
30.25, 100, 1 0 2
30.61, 42, 0 4 2
30.69, 23, 0 5 1
32.45, 77, 1 2 2
34.82, 35, 0 3 3
38.37, 47, 1 5 1
46.00, 21, 2 0 0
56.29, 24, 2 5 1
57.04, 23, 1 8 2
58.99, 23, 2 3 3

Atomic structure:
```
data_Nd6Tl2Ru
_symmetry_space_group_name_H-M 'A m m 2'
_symmetry_Int_Tables_number 38
_cell_length_a 3.946
_cell_length_b 15.410
_cell_length_c 8.934
_cell_angle_alpha 90.00
_cell_angle_beta 90.00
_cell_angle_gamma 90.00
loop_
_symmetry_equiv_pos_as_xyz
'x,y,z'
'-x,-y,z'
'-x,y,z'
'x,-y,z'
'x,y+1/2,z+1/2'
'-x,-y+1/2,z+1/2'
'-x,y+1/2,z+1/2'
'x,-y+1/2,z+1/2'
loop_
_atom_site_label
_atom_site_type_symbol
_atom_site_fract_x
_atom_site_fract_y
_atom_site_fract_z
Nd1 Nd 0.000 0.000 0.000
Nd2 Nd 0.000 0.118 0.638
Nd3 Nd 0.500 0.000 0.360
Nd4 Nd 0.500 0.198 0.955
Tl1 Tl 0.000 0.168 0.257
Ru1 Ru 0.500 0.000 0.766
```

---

Structure and simulated powder diffractogram of Na8B11C5 (DFT lattice parameters and positions (PBE); Cu Ka).
Intensities are scaled so that the largest is 100.

The 10 most intense peaks (5 to 70 degrees two-theta), sorted by position:
2θ (°), I_rel, index
35.69, 9, 2 0 -4
35.90, 19, 1 1 -2
41.68, 51, 2 0 4
41.86, 100, 3 1 2
42.37, 38, 8 0 0
56.57, 5, 6 0 4
56.71, 10, 7 1 2
64.25, 18, 3 1 -6
64.65, 9, 0 2 0
68.34, 2, 1 1 6

Atomic structure:
```
data_Na8B11C5
_symmetry_space_group_name_H-M 'C 1 m 1'
_symmetry_Int_Tables_number 8
_cell_length_a 17.790
_cell_length_b 2.883
_cell_length_c 10.062
_cell_angle_alpha 90.00
_cell_angle_beta 106.42
_cell_angle_gamma 90.00
loop_
_symmetry_equiv_pos_as_xyz
'x,y,z'
'x,-y,z'
'x+1/2,y+1/2,z'
'x+1/2,-y+1/2,z'
loop_
_atom_site_label
_atom_site_type_symbol
_atom_site_fract_x
_atom_site_fract_y
_atom_site_fract_z
Na1 Na 0.000 0.000 0.000
Na2 Na 0.000 0.500 0.250
Na3 Na 0.001 0.000 0.500
Na4 Na 0.002 0.500 0.751
Na5 Na 0.247 0.000 0.624
Na6 Na 0.248 0.500 0.373
Na7 Na 0.249 0.000 0.124
Na8 Na 0.249 0.500 0.875
B1 B 0.124 0.000 0.729
B2 B 0.124 0.500 0.979
B3 B 0.125 0.000 0.228
B4 B 0.125 0.500 0.478
B5 B 0.374 0.000 0.020
B6 B 0.374 0.000 0.529
B7 B 0.374 0.000 0.852
B8 B 0.374 0.500 0.107
B9 B 0.374 0.500 0.754
B10 B 0.375 0.000 0.352
B11 B 0.375 0.500 0.283
C1 C 0.124 0.000 0.895
C2 C 0.124 0.500 0.645
C3 C 0.125 0.000 0.395
C4 C 0.125 0.500 0.145
C5 C 0.374 0.500 0.599
```